Computed powder diffractogram
Compound: RbCoRu
Radiation: λ = 1.5418 Å (Cu Kα)
Structure: the GGA-PBE geometry in Alexandria
No peak broadening, texture or thermal motion is included.

Atomic structure:
Unit cell a=4.2666 b=4.5196 c=9.9314 alpha=90.92 beta=92.11 gamma=98.19
Sites, in units of the cell vectors:
Rb1 0.0000 0.0000 0.0000
Rb2 0.4624 0.4857 0.5840
Co1 0.0238 0.4206 0.2798
Co2 0.5292 0.5952 0.2170
Ru1 0.4816 0.0880 0.2939
Ru2 0.9622 0.8930 0.3632

Most intense lines, 2θ = 15–90°, low angle first:
2θ = 17.88°, I = 28, hkl 0 0 2; 2θ = 26.54°, I = 26, hkl 0 1 -2; 2θ = 26.94°, I = 100, hkl 0 0 3; 2θ = 27.16°, I = 72, hkl 0 1 2; 2θ = 32.71°, I = 30, hkl 1 -1 2; 2θ = 34.06°, I = 45, hkl 0 1 3; 2θ = 35.13°, I = 29, hkl 1 0 3; 2θ = 35.48°, I = 35, hkl 1 1 -2; 2θ = 42.86°, I = 45, hkl 2 0 0; 2θ = 43.99°, I = 40, hkl -1 2 1; 2θ = 49.99°, I = 26, hkl 1 2 1; 2θ = 52.34°, I = 28, hkl -2 1 3



Computed powder diffractogram
Compound: RbCoRu
Radiation: λ = 1.5418 Å (Cu Kα)
Structure: the GGA-PBE geometry in Alexandria
No peak broadening, texture or thermal motion is included.

Atomic structure:
Unit cell a=4.8704 b=3.9188 c=10.0460 alpha=90.00 beta=94.90 gamma=90.00
Sites, in units of the cell vectors:
Rb1 0.2123 0.2500 0.2900
Rb2 0.7877 0.7500 0.7100
Co1 0.1259 0.7500 0.0211
Co2 0.8741 0.2500 0.9789
Ru1 0.3676 0.2500 0.9483
Ru2 0.6324 0.7500 0.0517

Most intense lines, 2θ = 15–90°, low angle first:
2θ = 17.72°, I = 36, hkl 0 0 2; 2θ = 21.02°, I = 43, hkl 1 0 1; 2θ = 24.43°, I = 54, hkl 1 0 -2; 2θ = 26.72°, I = 95, hkl 0 0 3; 2θ = 28.94°, I = 69, hkl 0 1 2; 2θ = 29.29°, I = 62, hkl 1 1 0; 2θ = 31.18°, I = 24, hkl 1 0 -3; 2θ = 35.33°, I = 85, hkl 0 1 3; 2θ = 45.54°, I = 76, hkl 2 1 1; 2θ = 46.36°, I = 100, hkl 0 2 0; 2θ = 54.29°, I = 25, hkl 0 2 3; 2θ = 60.30°, I = 29, hkl 0 1 6